Record 1
Zr6Al7Cu16H3: theoretical PXRD pattern (Cu Kα), based on the GGA-PBE geometry in the Materials Project.
No peak broadening, texture or thermal motion is included.

Most intense lines, 10 to 90 degrees two-theta, most intense first:
| 2θ/deg | d [Å] | I (rel.) |
| --- | --- | --- |
| 42.5 | 2.126 | 100 |
| 39.0 | 2.309 | 79 |
| 25.7 | 3.469 | 33 |
| 38.9 | 2.316 | 27 |
| 38.8 | 2.322 | 26 |
| 36.6 | 2.456 | 20 |
| 42.7 | 2.116 | 20 |
| 45.4 | 1.999 | 16 |

Structural model:
Unit cell a=8.5073 b=8.5073 c=8.5073 alpha=120.34 beta=120.09 gamma=89.63
Atoms (fractional coordinates):
Zr: 0.0000 0.0000 0.0000
Zr: 0.0026 0.0032 0.5937
Zr: 0.0026 0.4089 0.9994
Zr: 0.4095 0.0032 0.0006
Zr: 0.4095 0.4089 0.4063
Zr: 0.4190 0.4190 0.0000
Al: 0.2070 0.2055 0.4970
Al: 0.2070 0.7100 0.0015
Al: 0.2082 0.7082 0.5000
Al: 0.7065 0.2065 0.5000
Al: 0.7067 0.7067 0.0000
Al: 0.7085 0.2055 0.9985
Al: 0.7085 0.7100 0.5030
Cu: 0.0323 0.3844 0.6479
Cu: 0.0381 0.3793 0.3412
Cu: 0.0381 0.6969 0.6588
Cu: 0.0647 0.8261 0.2387
Cu: 0.3481 0.5875 0.7606
Cu: 0.3775 0.0378 0.6603
Cu: 0.3775 0.7173 0.3397
Cu: 0.3797 0.0363 0.3435
Cu: 0.5874 0.8261 0.7613
Cu: 0.5882 0.3485 0.7604
Cu: 0.5882 0.8278 0.2396
Cu: 0.6928 0.0363 0.6565
Cu: 0.7365 0.3844 0.3521
Cu: 0.8258 0.0649 0.2390
Cu: 0.8258 0.5868 0.7610
Cu: 0.8269 0.5875 0.2394
H: 0.1188 0.2989 0.8198
H: 0.1766 0.1766 0.0000
H: 0.4791 0.2989 0.1802

Record 2
TbEu2NbO6: theoretical PXRD pattern (Cu Kα), based on the GGA-PBE geometry in the Materials Project.
No peak broadening, texture or thermal motion is included.

Most intense lines, 10 to 90 degrees two-theta, most intense first:
| 2θ/deg | d [Å] | I (rel.) |
| --- | --- | --- |
| 29.9 | 2.987 | 100 |
| 53.1 | 1.725 | 41 |
| 42.8 | 2.112 | 29 |
| 86.1 | 1.129 | 22 |
| 62.2 | 1.493 | 18 |
| 70.5 | 1.336 | 18 |
| 78.4 | 1.219 | 6 |
| 36.9 | 2.439 | 3 |

Structural model:
Unit cell a=5.9739 b=5.9739 c=5.9739 alpha=60.00 beta=60.00 gamma=60.00
Atoms (fractional coordinates):
Tb: 0.0000 0.0000 0.0000
Eu: 0.2500 0.2500 0.2500
Eu: 0.7500 0.7500 0.7500
Nb: 0.5000 0.5000 0.5000
O: 0.2625 0.2625 0.7375
O: 0.2625 0.7375 0.2625
O: 0.2625 0.7375 0.7375
O: 0.7375 0.2625 0.2625
O: 0.7375 0.2625 0.7375
O: 0.7375 0.7375 0.2625